Record 1
The following is a computed powder diffraction line list of BaIn11Ga. It was derived from DFT lattice parameters and positions (PBE), using Cu Kα (λ = 1.5418 Å).
Intensities are scaled so that the largest is 1000.

The 8 most intense peaks (2θ = 10–90°), low angle first:
| (hkl) | two_theta | I_rel |
| --- | --- | --- |
| 1 3 -2 | 29.04 | 291 |
| 1 1 2 | 32.03 | 421 |
| 2 2 0 | 32.23 | 503 |
| 0 4 2 | 33.25 | 707 |
| 2 2 -2 | 33.40 | 1000 |
| 2 4 -1 | 37.12 | 505 |
| 2 0 -3 | 37.66 | 318 |
| 0 6 1 | 37.78 | 298 |

Lattice parameters (Å, degrees): 6.343 15.021 8.209 90.00 109.51 90.00
Space group C2/m (No. 12)
Inequivalent atoms, fractional coordinates:
1 Ba 0.000 0.000 0.000
2 In 0.000 0.000 0.500
3 In 0.101 0.394 0.221
4 In 0.187 0.175 0.362
5 In 0.250 0.250 0.000
6 Ga 0.000 0.500 0.500


Record 2
The following is a computed powder diffraction line list of LaPr4Ho6. It was derived from DFT lattice parameters and positions (PBE), using Cu Kα (λ = 1.5418 Å).
Intensities are scaled so that the largest is 1000.

The 8 most intense peaks (2θ = 10–90°), low angle first:
| (hkl) | two_theta | I_rel |
| --- | --- | --- |
| 2 1 0 | 24.50 | 183 |
| 2 0 1 | 31.24 | 995 |
| 2 2 0 | 32.26 | 1000 |
| 2 1 1 | 35.27 | 268 |
| 4 0 1 | 45.52 | 282 |
| 4 2 1 | 56.88 | 366 |
| 6 0 0 | 57.54 | 169 |
| 2 2 2 | 61.86 | 310 |

Lattice parameters (Å, degrees): 11.1009 11.1009 3.5650 90.00 90.00 120.00
Space group P-6m2 (No. 187)
Inequivalent atoms, fractional coordinates:
1 La 0.0000 0.0000 0.0000
2 Pr 0.3333 0.6667 0.0000
3 Pr 0.3960 0.1980 0.5000
4 Ho 0.0078 0.5039 0.0000
5 Ho 0.1715 0.3429 0.5000


Record 3
The following is a computed powder diffraction line list of ThMnN2. It was derived from DFT lattice parameters and positions (PBE), using Cu Kα (λ = 1.5418 Å).
Intensities are scaled so that the largest is 1000.

The 8 most intense peaks (2θ = 10–90°), low angle first:
| (hkl) | two_theta | I_rel |
| --- | --- | --- |
| 0 1 1 | 23.42 | 778 |
| 1 0 2 | 32.63 | 1000 |
| 1 1 0 | 34.08 | 882 |
| 2 0 1 | 41.77 | 266 |
| 0 2 2 | 47.90 | 417 |
| 1 1 3 | 52.99 | 203 |
| 0 1 4 | 57.29 | 218 |
| 2 1 2 | 60.09 | 362 |

Lattice parameters (Å, degrees): 5.2610 5.2610 6.8752 90.00 90.00 120.00
Space group P3_121 (No. 152)
Inequivalent atoms, fractional coordinates:
1 Th 0.0000 0.6542 0.1667
2 Mn 0.0000 0.6306 0.6667
3 N 0.1240 0.4910 0.8756


Record 4
The following is a computed powder diffraction line list of ZnI4N2. It was derived from DFT lattice parameters and positions (PBE), using Cu Kα (λ = 1.5418 Å).
Intensities are scaled so that the largest is 1000.

The 8 most intense peaks (2θ = 10–90°), low angle first:
| (hkl) | two_theta | I_rel |
| --- | --- | --- |
| 0 1 -1 | 14.82 | 310 |
| 0 1 1 | 16.89 | 507 |
| 0 1 -2 | 22.63 | 708 |
| 0 2 0 | 24.20 | 319 |
| 0 1 2 | 25.39 | 1000 |
| 1 0 1 | 27.47 | 347 |
| 1 1 -1 | 29.48 | 680 |
| 1 -2 1 | 31.53 | 403 |

Lattice parameters (Å, degrees): 3.873 7.632 8.694 95.65 96.80 103.53
Space group P-1 (No. 2)
Inequivalent atoms, fractional coordinates:
1 Zn 0.000 0.000 0.000
2 I 0.135 0.301 0.419
3 I 0.367 0.805 0.130
4 N 0.332 0.607 0.623


Record 5
The following is a computed powder diffraction line list of TlAg4Au8. It was derived from DFT lattice parameters and positions (PBE), using Cu Kα (λ = 1.5418 Å).
Intensities are scaled so that the largest is 1000.

The 8 most intense peaks (2θ = 10–90°), low angle first:
| (hkl) | two_theta | I_rel |
| --- | --- | --- |
| 0 0 7 | 34.49 | 301 |
| 1 0 4 | 36.14 | 428 |
| 0 2 0 | 38.09 | 762 |
| 1 1 3 | 38.80 | 1000 |
| 0 1 7 | 39.56 | 908 |
| 1 1 4 | 41.04 | 873 |
| 2 1 7 | 76.67 | 270 |
| 1 2 11 | 77.42 | 277 |

Lattice parameters (Å, degrees): 2.966 4.725 18.203 90.00 90.00 90.00
Space group Pmm2 (No. 25)
Inequivalent atoms, fractional coordinates:
1 Tl 0.000 0.000 0.000
2 Ag 0.000 0.000 0.280
3 Ag 0.000 0.500 0.466
4 Ag 0.500 0.000 0.700
5 Ag 0.500 0.500 0.890
6 Au 0.000 0.000 0.560
7 Au 0.000 0.000 0.841
8 Au 0.000 0.500 0.180
9 Au 0.000 0.500 0.749
10 Au 0.500 0.000 0.142
11 Au 0.500 0.000 0.419
12 Au 0.500 0.500 0.325
13 Au 0.500 0.500 0.607


Record 6
The following is a computed powder diffraction line list of PrBS3. It was derived from DFT lattice parameters and positions (PBE), using Cu Kα (λ = 1.5418 Å).
Intensities are scaled so that the largest is 1000.

The 8 most intense peaks (2θ = 10–90°), low angle first:
| (hkl) | two_theta | I_rel |
| --- | --- | --- |
| 1 1 0 | 18.69 | 656 |
| 0 0 2 | 19.74 | 632 |
| 1 1 1 | 21.16 | 838 |
| 2 0 1 | 25.05 | 1000 |
| 1 2 1 | 33.50 | 806 |
| 1 1 3 | 35.40 | 621 |
| 2 0 3 | 37.96 | 841 |
| 3 1 1 | 39.28 | 685 |

Lattice parameters (Å, degrees): 7.740 6.010 8.997 90.00 90.00 90.00
Space group Pna2_1 (No. 33)
Inequivalent atoms, fractional coordinates:
1 Pr 0.115 0.073 0.000
2 B 0.147 0.596 0.828
3 S 0.003 0.593 0.986
4 S 0.172 0.836 0.706
5 S 0.202 0.867 0.298


Record 7
The following is a computed powder diffraction line list of Sm2PuSe2N2. It was derived from DFT lattice parameters and positions (PBE), using Cu Kα (λ = 1.5418 Å).
Intensities are scaled so that the largest is 1000.

The 8 most intense peaks (2θ = 10–90°), low angle first:
| (hkl) | two_theta | I_rel |
| --- | --- | --- |
| 0 0 2 | 11.55 | 301 |
| 1 0 3 | 27.12 | 361 |
| 1 1 0 | 29.39 | 953 |
| 1 0 5 | 36.00 | 1000 |
| 2 0 0 | 42.05 | 424 |
| 2 1 5 | 56.52 | 549 |
| 3 1 0 | 69.11 | 173 |
| 3 2 5 | 87.89 | 165 |

Lattice parameters (Å, degrees): 4.298 4.298 15.320 90.00 90.00 90.00
Space group I4/mmm (No. 139)
Inequivalent atoms, fractional coordinates:
1 Sm 0.000 0.000 0.118
2 Pu 0.000 0.000 0.500
3 Se 0.000 0.000 0.316
4 N 0.000 0.500 0.000


Record 8
The following is a computed powder diffraction line list of Ho7Er2Tm4. It was derived from DFT lattice parameters and positions (PBE), using Cu Kα (λ = 1.5418 Å).
Intensities are scaled so that the largest is 1000.

The 8 most intense peaks (2θ = 10–90°), low angle first:
| (hkl) | two_theta | I_rel |
| --- | --- | --- |
| 0 0 4 | 27.34 | 196 |
| 1 1 0 | 29.83 | 159 |
| 1 1 1 | 30.62 | 437 |
| 1 0 4 | 32.42 | 148 |
| 2 -1 2 | 32.90 | 1000 |
| 1 1 3 | 36.42 | 310 |
| 2 -1 6 | 51.96 | 173 |
| 3 0 0 | 52.94 | 295 |

Lattice parameters (Å, degrees): 5.9913 5.9913 13.0473 90.00 90.00 120.00
Space group P-31m (No. 162)
Inequivalent atoms, fractional coordinates:
1 Ho 0.0000 0.0000 0.0000
2 Ho 0.0000 0.3571 0.2167
3 Er 0.3333 0.6667 0.0000
4 Tm 0.0000 0.0000 0.3937
5 Tm 0.3333 0.6667 0.5000


Record 9
The following is a computed powder diffraction line list of Ba2TiSe2O2. It was derived from DFT lattice parameters and positions (PBE), using Cu Kα (λ = 1.5418 Å).
Intensities are scaled so that the largest is 1000.

The 8 most intense peaks (2θ = 10–90°), low angle first:
| (hkl) | two_theta | I_rel |
| --- | --- | --- |
| 0 0 4 | 22.06 | 383 |
| 1 1 0 | 29.15 | 1000 |
| 1 0 5 | 34.69 | 664 |
| 1 1 4 | 36.85 | 647 |
| 2 0 0 | 41.69 | 493 |
| 2 0 4 | 47.66 | 206 |
| 2 1 5 | 55.32 | 337 |
| 1 0 9 | 55.53 | 186 |

Lattice parameters (Å, degrees): 4.333 4.333 16.117 90.00 90.00 90.00
Space group I4/mmm (No. 139)
Inequivalent atoms, fractional coordinates:
1 Ba 0.000 0.000 0.121
2 Ti 0.000 0.000 0.500
3 Se 0.000 0.000 0.337
4 O 0.000 0.500 0.000


Record 10
The following is a computed powder diffraction line list of NdGaNiPd. It was derived from DFT lattice parameters and positions (PBE), using Cu Kα (λ = 1.5418 Å).
Intensities are scaled so that the largest is 1000.

The 8 most intense peaks (2θ = 10–90°), low angle first:
| (hkl) | two_theta | I_rel |
| --- | --- | --- |
| 1 0 1 | 24.67 | 439 |
| 1 0 4 | 34.69 | 990 |
| 0 1 5 | 39.61 | 480 |
| 1 1 0 | 41.97 | 1000 |
| 0 2 4 | 55.55 | 252 |
| 1 1 6 | 57.59 | 262 |
| 1 0 10 | 70.24 | 177 |
| 2 1 4 | 71.99 | 228 |

Lattice parameters (Å, degrees): 4.3049 4.3049 14.3602 90.00 90.00 120.00
Space group R3m (No. 160, hexagonal axes)
Inequivalent atoms, fractional coordinates:
1 Nd 0.0000 0.0000 0.0000
2 Ga 0.0000 0.0000 0.5115
3 Ni 0.0000 0.0000 0.2039
4 Pd 0.0000 0.0000 0.7927


Record 11
The following is a computed powder diffraction line list of LaPm2Dy5. It was derived from DFT lattice parameters and positions (PBE), using Cu Kα (λ = 1.5418 Å).
Intensities are scaled so that the largest is 1000.

The 8 most intense peaks (2θ = 10–90°), low angle first:
| (hkl) | two_theta | I_rel |
| --- | --- | --- |
| 0 2 1 | 30.39 | 718 |
| 4 2 0 | 31.42 | 1000 |
| 0 4 0 | 31.87 | 424 |
| 4 0 -1 | 32.24 | 449 |
| 1 3 -1 | 34.69 | 164 |
| 4 4 -1 | 45.97 | 285 |
| 8 0 0 | 55.70 | 157 |
| 2 2 2 | 61.17 | 157 |

Lattice parameters (Å, degrees): 13.682 11.231 3.577 90.00 105.07 90.00
Space group C2/m (No. 12)
Inequivalent atoms, fractional coordinates:
1 La 0.000 0.000 0.000
2 Pm 0.243 0.000 0.744
3 Dy 0.000 0.500 0.000
4 Dy 0.132 0.271 0.633


Record 12
The following is a computed powder diffraction line list of CdCo. It was derived from DFT lattice parameters and positions (PBE), using Cu Kα (λ = 1.5418 Å).
Intensities are scaled so that the largest is 1000.

The 8 most intense peaks (2θ = 10–90°), low angle first:
| (hkl) | two_theta | I_rel |
| --- | --- | --- |
| 3 1 0 | 29.80 | 271 |
| 1 0 1 | 32.33 | 209 |
| 4 0 0 | 37.96 | 161 |
| 3 3 0 | 40.36 | 535 |
| 3 0 1 | 42.33 | 1000 |
| 4 3 1 | 58.15 | 185 |
| 6 0 0 | 58.39 | 146 |
| 6 3 1 | 74.73 | 251 |

Lattice parameters (Å, degrees): 9.482 9.482 2.895 90.00 90.00 90.00
Space group I4/mmm (No. 139)
Inequivalent atoms, fractional coordinates:
1 Cd 0.154 0.154 0.000
2 Co 0.000 0.357 0.500